# 1
Structure and simulated PXRD pattern of CsNbI6 (a PBE-relaxed structure; copper Kα).
No peak broadening, texture or thermal motion is included.

Principal peaks in the range 10° ≤ 2θ ≤ 90°, by intensity:
27.63 deg, d = 3.228 Å, I 100; 27.79 deg, d = 3.210 Å, I 95; 28.11 deg, d = 3.174 Å, I 93; 26.60 deg, d = 3.351 Å, I 58; 36.24 deg, d = 2.479 Å, I 46; 42.73 deg, d = 2.116 Å, I 45; 24.52 deg, d = 3.630 Å, I 28; 51.23 deg, d = 1.783 Å, I 25; 52.02 deg, d = 1.758 Å, I 24; 36.74 deg, d = 2.446 Å, I 24

Cell and atoms:
a = 7.901 Å, b = 7.901 Å, c = 14.288 Å
α = 100.16°, β = 100.16°, γ = 55.58°
Element x y z (fractional)
Cs1 0.089 0.911 0.750
Cs2 0.911 0.089 0.250
Nb1 0.000 0.500 0.000
Nb2 0.500 0.000 0.500
I1 0.089 0.210 0.535
I2 0.197 0.378 0.834
I3 0.210 0.089 0.035
I4 0.320 0.526 0.103
I5 0.378 0.197 0.334
I6 0.474 0.680 0.397
I7 0.526 0.320 0.603
I8 0.622 0.803 0.666
I9 0.680 0.474 0.897
I10 0.790 0.911 0.965
I11 0.803 0.622 0.166
I12 0.911 0.790 0.465

=====

# 2
Structure and simulated PXRD pattern of Nd3Ga2N4 (a PBE-relaxed structure; copper Kα).
No peak broadening, texture or thermal motion is included.

Principal peaks in the range 10° ≤ 2θ ≤ 90°, by intensity:
30.61 deg, d = 2.921 Å, I 100; 35.06 deg, d = 2.559 Å, I 26; 41.09 deg, d = 2.196 Å, I 22; 43.03 deg, d = 2.102 Å, I 17; 32.32 deg, d = 2.770 Å, I 15; 42.19 deg, d = 2.142 Å, I 15; 45.40 deg, d = 1.998 Å, I 14; 60.14 deg, d = 1.539 Å, I 9; 46.45 deg, d = 1.955 Å, I 8; 51.38 deg, d = 1.778 Å, I 7

Cell and atoms:
a = 7.116 Å, b = 7.116 Å, c = 5.539 Å
α = 90.68°, β = 90.68°, γ = 74.03°
Element x y z (fractional)
Nd1 0.078 0.922 0.750
Nd2 0.252 0.528 0.028
Nd3 0.472 0.748 0.472
Nd4 0.528 0.252 0.528
Nd5 0.748 0.472 0.972
Nd6 0.922 0.078 0.250
Ga1 0.088 0.328 0.596
Ga2 0.328 0.088 0.096
Ga3 0.672 0.912 0.904
Ga4 0.912 0.672 0.404
N1 0.090 0.254 0.938
N2 0.196 0.558 0.528
N3 0.254 0.090 0.438
N4 0.442 0.804 0.972
N5 0.558 0.196 0.028
N6 0.746 0.910 0.562
N7 0.804 0.442 0.472
N8 0.910 0.746 0.062

=====

# 3
Structure and simulated PXRD pattern of SmCuPd2Pt2 (a PBE-relaxed structure; copper Kα).
No peak broadening, texture or thermal motion is included.

Principal peaks in the range 10° ≤ 2θ ≤ 90°, by intensity:
40.28 deg, d = 2.239 Å, I 100; 38.97 deg, d = 2.311 Å, I 71; 28.37 deg, d = 3.146 Å, I 46; 39.10 deg, d = 2.304 Å, I 38; 44.22 deg, d = 2.048 Å, I 36; 20.08 deg, d = 4.423 Å, I 29; 57.41 deg, d = 1.605 Å, I 25; 73.18 deg, d = 1.293 Å, I 25; 86.99 deg, d = 1.120 Å, I 21; 34.67 deg, d = 2.588 Å, I 19

Cell and atoms:
a = 5.398 Å, b = 8.845 Å, c = 4.475 Å
α = 90.00°, β = 90.00°, γ = 90.00°
Element x y z (fractional)
Sm1 0.000 0.000 0.000
Sm2 0.500 0.500 0.000
Cu1 0.000 0.500 0.500
Cu2 0.500 0.000 0.500
Pd1 0.000 0.336 0.000
Pd2 0.000 0.664 0.000
Pd3 0.500 0.164 0.000
Pd4 0.500 0.836 0.000
Pt1 0.250 0.250 0.500
Pt2 0.250 0.750 0.500
Pt3 0.750 0.250 0.500
Pt4 0.750 0.750 0.500

=====

# 4
Structure and simulated PXRD pattern of TlFe2Te3 (a PBE-relaxed structure; copper Kα).
No peak broadening, texture or thermal motion is included.

Principal peaks in the range 10° ≤ 2θ ≤ 90°, by intensity:
31.35 deg, d = 2.853 Å, I 100; 29.39 deg, d = 3.039 Å, I 49; 29.54 deg, d = 3.024 Å, I 31; 25.90 deg, d = 3.441 Å, I 27; 48.45 deg, d = 1.879 Å, I 26; 30.97 deg, d = 2.888 Å, I 25; 38.32 deg, d = 2.349 Å, I 22; 38.20 deg, d = 2.356 Å, I 22; 34.73 deg, d = 2.583 Å, I 19; 39.69 deg, d = 2.271 Å, I 19

Cell and atoms:
a = 8.805 Å, b = 3.757 Å, c = 9.740 Å
α = 90.00°, β = 112.05°, γ = 90.00°
Element x y z (fractional)
Tl1 0.001 0.250 0.232
Tl2 0.999 0.750 0.768
Fe1 0.471 0.750 0.683
Fe2 0.482 0.250 0.894
Fe3 0.518 0.750 0.106
Fe4 0.529 0.250 0.317
Te1 0.243 0.250 0.641
Te2 0.295 0.250 0.049
Te3 0.349 0.750 0.383
Te4 0.651 0.250 0.617
Te5 0.705 0.750 0.951
Te6 0.757 0.750 0.359